[1]
# AcPd3Se4
Theoretical X-ray powder pattern, Cu Kα, 1.54184 Å. Input: DFT lattice parameters and positions (PBE).
Peak positions follow from Bragg's law for the DFT cell and can differ from measured ones.

Crystal structure
```
data_AcPd3Se4
_chemical_formula_sum 'Ac2 Pd6 Se8'
_space_group_name_H-M_alt 'P m -3 n'
_space_group_IT_number 223
_space_group_name_Hall '-P 4n 2 3'
_cell_length_a 7.2003
_cell_length_b 7.2003
_cell_length_c 7.2003
_cell_angle_alpha 90.00
_cell_angle_beta 90.00
_cell_angle_gamma 90.00
loop_
_atom_site_label
_atom_site_fract_x
_atom_site_fract_y
_atom_site_fract_z
_atom_site_occupancy
Ac1 0.0000 0.0000 0.0000 1
Pd1 0.0000 0.2500 0.5000 1
Se1 0.2500 0.2500 0.2500 1
```

Peak list (10 most intense, 10° ≤ 2θ ≤ 80°, by intensity)
| 2θ (°) | I/Imax | h k l |
| --- | --- | --- |
| 30.41 | 100 | 2 1 1 |
| 47.23 | 60 | 3 2 1 |
| 35.26 | 58 | 2 2 0 |
| 27.70 | 56 | 2 1 0 |
| 50.72 | 41 | 4 0 0 |
| 74.55 | 26 | 4 4 0 |
| 63.27 | 21 | 4 2 2 |
| 17.42 | 20 | 1 1 0 |
| 43.54 | 20 | 2 2 2 |
| 71.81 | 17 | 5 2 1 |

[2]
# Ac4TePdSe2
Theoretical X-ray powder pattern, Cu Kα, 1.54184 Å. Input: DFT lattice parameters and positions (PBE).
Peak positions follow from Bragg's law for the DFT cell and can differ from measured ones.

Crystal structure
```
data_Ac4TePdSe2
_chemical_formula_sum 'Ac4 Te1 Pd1 Se2'
_space_group_name_H-M_alt 'P 1 2/m 1'
_space_group_IT_number 10
_space_group_name_Hall '-P 2y'
_cell_length_a 7.9180
_cell_length_b 4.4556
_cell_length_c 8.0309
_cell_angle_alpha 90.00
_cell_angle_beta 109.00
_cell_angle_gamma 90.00
loop_
_atom_site_label
_atom_site_fract_x
_atom_site_fract_y
_atom_site_fract_z
_atom_site_occupancy
Ac1 0.2366 0.0000 0.2378 1
Ac2 0.2594 0.5000 0.7695 1
Te1 0.5000 0.5000 0.5000 1
Pd1 0.5000 0.0000 0.0000 1
Se1 0.0000 0.0000 0.5000 1
Se2 0.0000 0.5000 0.0000 1
```

Peak list (10 most intense, 10° ≤ 2θ ≤ 80°, by intensity)
| 2θ (°) | I/Imax | h k l |
| --- | --- | --- |
| 27.79 | 100 | 1 1 1 |
| 27.48 | 52 | 2 0 -2 |
| 39.26 | 39 | 1 1 -3 |
| 39.69 | 39 | 3 1 -1 |
| 49.63 | 22 | 2 2 -2 |
| 24.23 | 20 | 1 1 -1 |
| 38.90 | 19 | 2 0 2 |
| 40.49 | 19 | 0 2 0 |
| 57.40 | 13 | 2 2 2 |
| 48.65 | 11 | 4 0 0 |

[3]
# Ac2Si6Pd21
Theoretical X-ray powder pattern, Cu Kα, 1.54184 Å. Input: DFT lattice parameters and positions (PBE).
Peak positions follow from Bragg's law for the DFT cell and can differ from measured ones.

Crystal structure
```
data_Ac2Si6Pd21
_chemical_formula_sum 'Ac8 Si24 Pd84'
_space_group_name_H-M_alt 'F m -3 m'
_space_group_IT_number 225
_space_group_name_Hall '-F 4 2 3'
_cell_length_a 12.3949
_cell_length_b 12.3949
_cell_length_c 12.3949
_cell_angle_alpha 90.00
_cell_angle_beta 90.00
_cell_angle_gamma 90.00
loop_
_atom_site_label
_atom_site_fract_x
_atom_site_fract_y
_atom_site_fract_z
_atom_site_occupancy
Ac1 0.2500 0.2500 0.2500 1
Si1 0.0000 0.0000 0.2367 1
Pd1 0.0000 0.0000 0.5000 1
Pd2 0.0000 0.1720 0.3280 1
Pd3 0.1130 0.1130 0.1130 1
```

Peak list (10 most intense, 10° ≤ 2θ ≤ 80°, by intensity)
| 2θ (°) | I/Imax | h k l |
| --- | --- | --- |
| 37.71 | 100 | 3 3 3 |
| 32.30 | 48 | 4 2 0 |
| 35.48 | 46 | 4 2 2 |
| 63.71 | 38 | 6 6 0 |
| 41.20 | 37 | 4 4 0 |
| 43.18 | 28 | 5 3 1 |
| 75.09 | 22 | 8 4 4 |
| 48.73 | 21 | 6 2 2 |
| 61.71 | 16 | 6 4 4 |
| 65.18 | 13 | 5 5 5 |

[4]
# AcSi3Pd
Theoretical X-ray powder pattern, Cu Kα, 1.54184 Å. Input: DFT lattice parameters and positions (PBE).
Peak positions follow from Bragg's law for the DFT cell and can differ from measured ones.

Crystal structure
```
data_AcSi3Pd
_chemical_formula_sum 'Ac2 Si6 Pd2'
_space_group_name_H-M_alt 'I 4 m m'
_space_group_IT_number 107
_space_group_name_Hall 'I 4 -2'
_cell_length_a 4.4595
_cell_length_b 4.4595
_cell_length_c 9.7735
_cell_angle_alpha 90.00
_cell_angle_beta 90.00
_cell_angle_gamma 90.00
loop_
_atom_site_label
_atom_site_fract_x
_atom_site_fract_y
_atom_site_fract_z
_atom_site_occupancy
Ac1 0.0000 0.0000 0.0000 1
Si1 0.0000 0.0000 0.3846 1
Si2 0.0000 0.5000 0.2570 1
Pd1 0.0000 0.0000 0.6438 1
```

Peak list (10 most intense, 10° ≤ 2θ ≤ 80°, by intensity)
| 2θ (°) | I/Imax | h k l |
| --- | --- | --- |
| 34.08 | 100 | 1 0 3 |
| 33.83 | 65 | 1 1 2 |
| 28.30 | 64 | 1 1 0 |
| 21.91 | 56 | 1 0 1 |
| 53.90 | 55 | 2 1 3 |
| 40.45 | 48 | 2 0 0 |
| 18.15 | 24 | 0 0 2 |
| 51.01 | 23 | 1 0 5 |
| 67.04 | 20 | 2 1 5 |
| 46.47 | 17 | 2 1 1 |

[5]
# AcSiPd4
Theoretical X-ray powder pattern, Cu Kα, 1.54184 Å. Input: DFT lattice parameters and positions (PBE).
Peak positions follow from Bragg's law for the DFT cell and can differ from measured ones.

Crystal structure
```
data_AcSiPd4
_chemical_formula_sum 'Ac4 Si4 Pd16'
_space_group_name_H-M_alt 'C m c m'
_space_group_IT_number 63
_space_group_name_Hall '-C 2c 2'
_cell_length_a 4.1032
_cell_length_b 16.0241
_cell_length_c 6.8088
_cell_angle_alpha 90.00
_cell_angle_beta 90.00
_cell_angle_gamma 90.00
loop_
_atom_site_label
_atom_site_fract_x
_atom_site_fract_y
_atom_site_fract_z
_atom_site_occupancy
Ac1 0.0000 0.1027 0.2500 1
Si1 0.0000 0.2323 0.7500 1
Pd1 0.0000 0.0853 0.7500 1
Pd2 0.0000 0.3112 0.0498 1
Pd3 0.0000 0.5000 0.0000 1
```

Peak list (10 most intense, 10° ≤ 2θ ≤ 80°, by intensity)
| 2θ (°) | I/Imax | h k l |
| --- | --- | --- |
| 34.69 | 100 | 1 1 2 |
| 35.54 | 88 | 1 5 0 |
| 43.05 | 37 | 0 6 2 |
| 44.14 | 30 | 2 0 0 |
| 34.58 | 28 | 0 4 2 |
| 63.36 | 23 | 2 6 2 |
| 66.21 | 17 | 1 5 4 |
| 57.25 | 13 | 2 4 2 |
| 74.53 | 13 | 1 11 2 |
| 25.96 | 12 | 1 1 1 |

[6]
# Ac2SiPd4
Theoretical X-ray powder pattern, Cu Kα, 1.54184 Å. Input: DFT lattice parameters and positions (PBE).
Peak positions follow from Bragg's law for the DFT cell and can differ from measured ones.

Crystal structure
```
data_Ac2SiPd4
_chemical_formula_sum 'Ac8 Si4 Pd16'
_space_group_name_H-M_alt 'F m m 2'
_space_group_IT_number 42
_space_group_name_Hall 'F 2 -2'
_cell_length_a 8.6185
_cell_length_b 8.6379
_cell_length_c 9.1696
_cell_angle_alpha 90.00
_cell_angle_beta 90.00
_cell_angle_gamma 90.00
loop_
_atom_site_label
_atom_site_fract_x
_atom_site_fract_y
_atom_site_fract_z
_atom_site_occupancy
Ac1 0.2500 0.2500 0.0000 1
Si1 0.0000 0.0000 0.2649 1
Pd1 0.0000 0.2259 0.7496 1
Pd2 0.2250 0.0000 0.7495 1
```

Peak list (10 most intense, 10° ≤ 2θ ≤ 80°, by intensity)
| 2θ (°) | I/Imax | h k l |
| --- | --- | --- |
| 35.34 | 100 | 2 2 2 |
| 28.41 | 59 | 2 0 2 |
| 20.59 | 45 | 0 2 0 |
| 41.88 | 34 | 0 4 0 |
| 58.78 | 25 | 0 4 4 |
| 39.30 | 22 | 0 0 4 |
| 51.38 | 20 | 2 4 2 |
| 68.69 | 15 | 2 2 6 |
| 47.10 | 13 | 4 2 0 |
| 44.77 | 13 | 0 2 4 |

[7]
# Ac2Si3Pd2
Theoretical X-ray powder pattern, Cu Kα, 1.54184 Å. Input: DFT lattice parameters and positions (PBE).
Peak positions follow from Bragg's law for the DFT cell and can differ from measured ones.

Crystal structure
```
data_Ac2Si3Pd2
_chemical_formula_sum 'Ac8 Si12 Pd8'
_space_group_name_H-M_alt 'C m c m'
_space_group_IT_number 63
_space_group_name_Hall '-C 2c 2'
_cell_length_a 4.5199
_cell_length_b 18.9881
_cell_length_c 7.1161
_cell_angle_alpha 90.00
_cell_angle_beta 90.00
_cell_angle_gamma 90.00
loop_
_atom_site_label
_atom_site_fract_x
_atom_site_fract_y
_atom_site_fract_z
_atom_site_occupancy
Ac1 0.0000 0.0570 0.2500 1
Ac2 0.0000 0.1568 0.7500 1
Si1 0.0000 0.2249 0.2500 1
Si2 0.0000 0.4430 0.0761 1
Pd1 0.0000 0.3053 0.5486 1
```

Peak list (10 most intense, 10° ≤ 2θ ≤ 80°, by intensity)
| 2θ (°) | I/Imax | h k l |
| --- | --- | --- |
| 33.29 | 100 | 1 5 1 |
| 32.37 | 82 | 1 1 2 |
| 22.51 | 39 | 0 4 1 |
| 42.61 | 37 | 0 4 3 |
| 39.89 | 36 | 2 0 0 |
| 20.20 | 28 | 1 1 0 |
| 59.78 | 27 | 2 4 3 |
| 30.92 | 27 | 0 6 1 |
| 35.09 | 25 | 1 3 2 |
| 27.29 | 24 | 1 3 1 |

[8]
# AcSiPd4
Theoretical X-ray powder pattern, Cu Kα, 1.54184 Å. Input: DFT lattice parameters and positions (PBE).
Peak positions follow from Bragg's law for the DFT cell and can differ from measured ones.

Crystal structure
```
data_AcSiPd4
_chemical_formula_sum 'Ac2 Si2 Pd8'
_space_group_name_H-M_alt 'P m m a'
_space_group_IT_number 51
_space_group_name_Hall '-P 2a 2a'
_cell_length_a 7.8993
_cell_length_b 3.9524
_cell_length_c 7.2283
_cell_angle_alpha 90.00
_cell_angle_beta 90.00
_cell_angle_gamma 90.00
loop_
_atom_site_label
_atom_site_fract_x
_atom_site_fract_y
_atom_site_fract_z
_atom_site_occupancy
Ac1 0.2500 0.0000 0.1322 1
Si1 0.2500 0.0000 0.6913 1
Pd1 0.0000 0.0000 0.5000 1
Pd2 0.0664 0.5000 0.7993 1
Pd3 0.2500 0.5000 0.4630 1
```

Peak list (10 most intense, 10° ≤ 2θ ≤ 80°, by intensity)
| 2θ (°) | I/Imax | h k l |
| --- | --- | --- |
| 34.42 | 100 | 2 1 1 |
| 35.52 | 67 | 1 1 2 |
| 40.82 | 53 | 2 1 2 |
| 45.93 | 47 | 0 2 0 |
| 28.10 | 40 | 1 1 1 |
| 36.31 | 35 | 3 0 1 |
| 37.32 | 34 | 0 0 3 |
| 60.61 | 23 | 0 2 3 |
| 69.14 | 23 | 0 1 5 |
| 42.48 | 17 | 3 0 2 |

[9]
# Ac2Si2Pd
Theoretical X-ray powder pattern, Cu Kα, 1.54184 Å. Input: DFT lattice parameters and positions (PBE).
Peak positions follow from Bragg's law for the DFT cell and can differ from measured ones.

Crystal structure
```
data_Ac2Si2Pd
_chemical_formula_sum 'Ac4 Si4 Pd2'
_space_group_name_H-M_alt 'A m m 2'
_space_group_IT_number 38
_space_group_name_Hall 'A 2 -2'
_cell_length_a 4.3921
_cell_length_b 4.3051
_cell_length_c 13.3542
_cell_angle_alpha 90.00
_cell_angle_beta 90.00
_cell_angle_gamma 90.00
loop_
_atom_site_label
_atom_site_fract_x
_atom_site_fract_y
_atom_site_fract_z
_atom_site_occupancy
Ac1 0.0000 0.0000 0.0000 1
Ac2 0.0000 0.0000 0.2490 1
Si1 0.5000 0.0000 0.4291 1
Si2 0.5000 0.0000 0.6193 1
Pd1 0.5000 0.0000 0.8219 1
```

Peak list (10 most intense, 10° ≤ 2θ ≤ 80°, by intensity)
| 2θ (°) | I/Imax | h k l |
| --- | --- | --- |
| 29.82 | 100 | 1 1 1 |
| 35.49 | 65 | 1 1 3 |
| 33.72 | 60 | 1 0 4 |
| 21.69 | 43 | 0 1 1 |
| 39.71 | 35 | 0 1 5 |
| 26.70 | 32 | 0 0 4 |
| 54.89 | 31 | 1 2 4 |
| 20.22 | 29 | 1 0 0 |
| 41.10 | 25 | 2 0 0 |
| 41.97 | 24 | 0 2 0 |

[10]
# Ac4Si2Pd
Theoretical X-ray powder pattern, Cu Kα, 1.54184 Å. Input: DFT lattice parameters and positions (PBE).
Peak positions follow from Bragg's law for the DFT cell and can differ from measured ones.

Crystal structure
```
data_Ac4Si2Pd
_chemical_formula_sum 'Ac16 Si8 Pd4'
_space_group_name_H-M_alt 'I m m a'
_space_group_IT_number 74
_space_group_name_Hall '-I 2b 2'
_cell_length_a 9.3869
_cell_length_b 10.1643
_cell_length_c 10.3287
_cell_angle_alpha 90.00
_cell_angle_beta 90.00
_cell_angle_gamma 90.00
loop_
_atom_site_label
_atom_site_fract_x
_atom_site_fract_y
_atom_site_fract_z
_atom_site_occupancy
Ac1 0.0000 0.0518 0.2047 1
Ac2 0.1963 0.2500 0.5493 1
Si1 0.0000 0.0000 0.5000 1
Si2 0.2500 0.2500 0.2500 1
Pd1 0.0000 0.2500 0.8406 1
```

Peak list (10 most intense, 10° ≤ 2θ ≤ 80°, by intensity)
| 2θ (°) | I/Imax | h k l |
| --- | --- | --- |
| 25.84 | 100 | 2 2 0 |
| 25.65 | 99 | 2 0 2 |
| 24.58 | 81 | 0 2 2 |
| 27.60 | 64 | 1 0 3 |
| 27.71 | 61 | 0 3 1 |
| 27.35 | 50 | 0 1 3 |
| 29.84 | 44 | 3 0 1 |
| 42.08 | 38 | 2 3 3 |
| 45.20 | 34 | 1 3 4 |
| 43.07 | 33 | 3 3 2 |

[11]
# AcZn2SiPd
Theoretical X-ray powder pattern, Cu Kα, 1.54184 Å. Input: DFT lattice parameters and positions (PBE).
Peak positions follow from Bragg's law for the DFT cell and can differ from measured ones.

Crystal structure
```
data_AcZn2SiPd
_chemical_formula_sum 'Ac2 Zn4 Si2 Pd2'
_space_group_name_H-M_alt 'I m m 2'
_space_group_IT_number 44
_space_group_name_Hall 'I 2 -2'
_cell_length_a 4.4148
_cell_length_b 4.4695
_cell_length_c 10.2354
_cell_angle_alpha 90.00
_cell_angle_beta 90.00
_cell_angle_gamma 90.00
loop_
_atom_site_label
_atom_site_fract_x
_atom_site_fract_y
_atom_site_fract_z
_atom_site_occupancy
Ac1 0.0000 0.0000 0.0000 1
Zn1 0.0000 0.0000 0.3787 1
Zn2 0.0000 0.5000 0.2483 1
Si1 0.0000 0.0000 0.6254 1
Pd1 0.0000 0.5000 0.7360 1
```

Peak list (10 most intense, 10° ≤ 2θ ≤ 80°, by intensity)
| 2θ (°) | I/Imax | h k l |
| --- | --- | --- |
| 33.47 | 100 | 1 1 2 |
| 33.19 | 32 | 1 0 3 |
| 21.70 | 25 | 0 1 1 |
| 40.36 | 23 | 0 2 0 |
| 40.88 | 22 | 2 0 0 |
| 33.03 | 21 | 0 1 3 |
| 53.21 | 17 | 1 2 3 |
| 21.93 | 16 | 1 0 1 |
| 58.80 | 15 | 2 2 0 |
| 61.90 | 15 | 1 1 6 |

[12]
# Ac2Sm3Pd2
Theoretical X-ray powder pattern, Cu Kα, 1.54184 Å. Input: DFT lattice parameters and positions (PBE).
Peak positions follow from Bragg's law for the DFT cell and can differ from measured ones.

Crystal structure
```
data_Ac2Sm3Pd2
_chemical_formula_sum 'Ac4 Sm6 Pd4'
_space_group_name_H-M_alt 'C 1 2/m 1'
_space_group_IT_number 12
_space_group_name_Hall '-C 2y'
_cell_length_a 12.7661
_cell_length_b 3.9601
_cell_length_c 9.4877
_cell_angle_alpha 90.00
_cell_angle_beta 115.23
_cell_angle_gamma 90.00
loop_
_atom_site_label
_atom_site_fract_x
_atom_site_fract_y
_atom_site_fract_z
_atom_site_occupancy
Ac1 0.1568 0.0000 0.3032 1
Sm1 0.0000 0.5000 0.5000 1
Sm2 0.1178 0.5000 0.9348 1
Pd1 0.1583 0.0000 0.7334 1
```

Peak list (10 most intense, 10° ≤ 2θ ≤ 80°, by intensity)
| 2θ (°) | I/Imax | h k l |
| --- | --- | --- |
| 30.83 | 100 | 2 0 2 |
| 29.40 | 67 | 1 1 -2 |
| 32.78 | 51 | 3 1 -2 |
| 32.44 | 46 | 3 1 0 |
| 45.80 | 42 | 0 2 0 |
| 33.87 | 35 | 1 1 2 |
| 28.30 | 34 | 2 0 -3 |
| 27.26 | 29 | 1 1 1 |
| 55.52 | 28 | 7 1 -2 |
| 30.97 | 25 | 4 0 0 |

[13]
# Ac3SnPd
Theoretical X-ray powder pattern, Cu Kα, 1.54184 Å. Input: DFT lattice parameters and positions (PBE).
Peak positions follow from Bragg's law for the DFT cell and can differ from measured ones.

Crystal structure
```
data_Ac3SnPd
_chemical_formula_sum 'Ac24 Sn8 Pd8'
_space_group_name_H-M_alt 'C m c e'
_space_group_IT_number 64
_space_group_name_Hall '-C 2ac 2'
_cell_length_a 13.9119
_cell_length_b 11.9480
_cell_length_c 8.6981
_cell_angle_alpha 90.00
_cell_angle_beta 90.00
_cell_angle_gamma 90.00
loop_
_atom_site_label
_atom_site_fract_x
_atom_site_fract_y
_atom_site_fract_z
_atom_site_occupancy
Ac1 0.0000 0.0747 0.1920 1
Ac2 0.1464 0.1605 0.5901 1
Sn1 0.2500 0.0875 0.2500 1
Pd1 0.0000 0.1931 0.8736 1
```

Peak list (10 most intense, 10° ≤ 2θ ≤ 80°, by intensity)
| 2θ (°) | I/Imax | h k l |
| --- | --- | --- |
| 22.97 | 100 | 3 1 1 |
| 31.49 | 96 | 4 2 1 |
| 31.34 | 93 | 3 3 1 |
| 34.38 | 92 | 0 2 3 |
| 31.67 | 88 | 0 4 1 |
| 29.13 | 86 | 3 1 2 |
| 25.37 | 55 | 0 2 2 |
| 32.98 | 52 | 4 0 2 |
| 47.64 | 43 | 3 5 2 |
| 51.14 | 40 | 4 4 3 |